# 1
Calculated powder XRD pattern
Compound: In5Se
Radiation: Cu Kα (weighted mean of Kα1 and Kα2)
Structure: a crystal structure in Alexandria, relaxed with PBE
Peak positions follow from Bragg's law for the DFT cell and can differ from measured ones.

Most intense lines, 5° ≤ 2θ ≤ 70°, low angle first:
d/Å, I/Imax
2.991, 1000
2.938, 674
2.798, 710
2.549, 508
2.469, 496
2.227, 388
2.150, 226
1.870, 252
1.577, 201
1.491, 237

```
In5Se
1.0
6.0379 -1.8698 0.0000
6.0379 1.8698 0.0000
-4.2830 0.0000 7.4067
In Se
5 1
Cartesian
0.0000 0.0000 0.0000
-2.5311 0.0000 4.8296
0.5414 0.0000 5.1277
5.9137 0.0000 2.5931
8.8867 0.0000 0.3722
2.9690 0.0000 2.7393
```

---

# 2
Calculated powder XRD pattern
Compound: Pu3GaRu4
Radiation: Cu Kα (weighted mean of Kα1 and Kα2)
Structure: a crystal structure in Alexandria, relaxed with PBE
Peak positions follow from Bragg's law for the DFT cell and can differ from measured ones.

Most intense lines, 5° ≤ 2θ ≤ 70°, low angle first:
d/Å, I/Imax
4.316, 61
3.467, 64
3.239, 98
3.211, 107
2.914, 56
2.356, 1000
2.271, 468
1.733, 87
1.606, 161
1.378, 164

```
Pu3GaRu4
1.0
-2.2707 2.2707 6.9333
2.2707 -2.2707 6.9333
2.2707 2.2707 -6.9333
Pu Ga Ru
3 1 4
Cartesian
0.0000 0.0000 0.0000
0.0000 0.0000 3.5915
0.0000 0.0000 10.2751
0.0000 0.0000 6.9333
2.2707 0.0000 1.6014
2.2707 0.0000 5.3319
0.0000 2.2707 1.6014
0.0000 2.2707 5.3319
```

---

# 3
Calculated powder XRD pattern
Compound: H2Pb4SO8
Radiation: Cu Kα (weighted mean of Kα1 and Kα2)
Structure: a crystal structure in Alexandria, relaxed with PBE
Peak positions follow from Bragg's law for the DFT cell and can differ from measured ones.

Most intense lines, 5° ≤ 2θ ≤ 70°, low angle first:
d/Å, I/Imax
10.068, 672
6.419, 374
6.128, 366
3.356, 1000
3.224, 846
3.210, 518
3.159, 350
2.947, 534
2.807, 553
2.398, 372

```
H2Pb4SO8
1.0
6.6383 0.0000 0.0000
0.6064 7.5445 0.0000
2.7195 2.4064 10.0675
H Pb S O
4 8 2 16
Cartesian
0.6384 1.4923 1.9331
2.8895 2.5600 1.9102
7.0747 7.3909 8.1574
9.3258 8.4587 8.1344
3.6273 7.9257 5.2467
3.3652 4.0967 4.9390
4.6027 5.9420 8.3207
4.6252 2.0079 8.2564
5.3390 7.9430 1.8111
5.3614 4.0089 1.7468
6.5989 5.8542 5.1285
6.3369 2.0252 4.8209
2.2652 6.1976 1.7226
7.6990 3.7533 8.3449
2.3901 4.0198 7.7157
3.4745 7.9816 7.7719
2.3983 7.6544 1.3915
2.4359 5.3797 0.4874
3.3685 5.8396 2.6960
4.4453 5.8549 6.0438
4.3284 2.2268 5.9483
3.6974 2.4694 2.4499
6.2668 7.4815 7.6176
5.6358 7.7241 4.1192
5.5189 4.0960 4.0237
6.5956 4.1114 7.3715
7.5283 4.5712 9.5801
7.5658 2.2965 8.6760
6.4896 1.9693 2.2956
7.5741 5.9311 2.3518
```

---

# 4
Calculated powder XRD pattern
Compound: Ag2Se
Radiation: Cu Kα (weighted mean of Kα1 and Kα2)
Structure: a crystal structure in Alexandria, relaxed with PBE
Peak positions follow from Bragg's law for the DFT cell and can differ from measured ones.

Most intense lines, 5° ≤ 2θ ≤ 70°, low angle first:
d/Å, I/Imax
5.297, 121
2.726, 183
2.655, 1000
2.531, 122
2.330, 793
2.163, 467
2.109, 329
2.001, 153
1.949, 115
1.510, 283

```
Ag2Se
1.0
6.8330 0.0000 0.0000
0.0000 4.2178 0.0000
0.0000 0.0000 8.3847
Ag Se
8 4
Cartesian
0.6738 1.0544 1.8748
0.8098 1.0544 4.8556
2.6067 3.1633 0.6632
2.7427 3.1633 6.0672
4.0903 1.0544 2.3175
4.2263 1.0544 7.7215
6.0232 3.1633 3.5291
6.1592 3.1633 6.5099
1.3950 1.0544 7.5571
2.0215 3.1633 3.3647
4.8115 1.0544 5.0201
5.4380 3.1633 0.8277
```

---

# 5
Calculated powder XRD pattern
Compound: La15Tb4Dy
Radiation: Cu Kα (weighted mean of Kα1 and Kα2)
Structure: a crystal structure in Alexandria, relaxed with PBE
Peak positions follow from Bragg's law for the DFT cell and can differ from measured ones.

Most intense lines, 5° ≤ 2θ ≤ 70°, low angle first:
d/Å, I/Imax
3.010, 1000
2.607, 507
1.843, 364
1.572, 433
1.505, 125

```
La15Tb4Dy
1.0
5.2137 0.0000 0.0000
0.0000 5.2137 0.0000
0.0000 0.0000 26.0720
La Tb Dy
15 4 1
Cartesian
0.0000 0.0000 0.0000
0.0000 0.0000 5.2189
0.0000 0.0000 10.4315
0.0000 0.0000 15.6405
0.0000 0.0000 20.8531
0.0000 2.6069 2.6058
0.0000 2.6069 7.8249
0.0000 2.6069 13.0360
0.0000 2.6069 18.2471
0.0000 2.6069 23.4661
2.6069 0.0000 2.6058
2.6069 0.0000 7.8249
2.6069 0.0000 13.0360
2.6069 0.0000 18.2471
2.6069 0.0000 23.4661
2.6069 2.6069 5.2169
2.6069 2.6069 10.4312
2.6069 2.6069 15.6408
2.6069 2.6069 20.8551
2.6069 2.6069 0.0000
```

---

# 6
Calculated powder XRD pattern
Compound: Na4B5C3
Radiation: Cu Kα (weighted mean of Kα1 and Kα2)
Structure: a crystal structure in Alexandria, relaxed with PBE
Peak positions follow from Bragg's law for the DFT cell and can differ from measured ones.

Most intense lines, 5° ≤ 2θ ≤ 70°, low angle first:
d/Å, I/Imax
17.049, 19
2.531, 75
2.457, 121
2.176, 365
2.129, 1000
1.630, 40
1.610, 68
1.447, 128
1.405, 59
1.370, 12

```
Na4B5C3
1.0
5.0616 0.0000 0.0000
0.0000 2.8106 0.0000
-0.0125 0.0000 17.0492
Na B C
8 10 6
Cartesian
0.0000 0.0000 0.0000
-0.0024 0.0000 4.1954
-0.0062 0.0000 8.5246
5.0515 0.0000 12.8538
2.5190 1.4053 4.2105
2.5308 1.4053 0.0000
2.5246 1.4053 8.5246
2.5301 1.4053 12.8387
0.6854 1.4053 10.6873
0.8571 1.4053 2.0988
1.6210 0.0000 6.3605
1.6615 0.0000 14.9504
1.7537 0.0000 10.6863
3.2955 0.0000 6.3630
3.3876 0.0000 2.0988
3.4281 0.0000 10.6887
4.1920 1.4053 14.9504
4.3638 1.4053 6.3619
0.8319 1.4053 6.3589
0.8245 1.4053 14.9523
1.6944 0.0000 2.0992
3.3548 0.0000 14.9500
4.2246 1.4053 2.0969
4.2172 1.4053 10.6903
```

---

# 7
Calculated powder XRD pattern
Compound: PrDy2HgC
Radiation: Cu Kα (weighted mean of Kα1 and Kα2)
Structure: a crystal structure in Alexandria, relaxed with PBE
Peak positions follow from Bragg's law for the DFT cell and can differ from measured ones.

Most intense lines, 5° ≤ 2θ ≤ 70°, low angle first:
d/Å, I/Imax
2.949, 252
2.869, 1000
2.601, 264
2.431, 278
2.301, 127
1.776, 216
1.647, 104
1.548, 176
1.503, 77
1.475, 113

```
PrDy2HgC
1.0
-3.4384 3.4384 5.2026
3.4384 -3.4384 5.2026
3.4384 3.4384 -5.2026
Pr Dy Hg C
2 4 2 2
Cartesian
0.0000 0.0000 2.6013
0.0000 0.0000 7.8038
4.7680 1.3297 0.0000
1.3297 2.1087 0.0000
2.1087 1.3297 5.2026
-1.3297 2.1087 5.2026
3.4384 0.0000 2.6013
0.0000 3.4384 2.6013
0.0000 0.0000 0.0000
0.0000 0.0000 5.2026
```

---

# 8
Calculated powder XRD pattern
Compound: Ac3GaB2Pt8
Radiation: Cu Kα (weighted mean of Kα1 and Kα2)
Structure: a crystal structure in Alexandria, relaxed with PBE
Peak positions follow from Bragg's law for the DFT cell and can differ from measured ones.

Most intense lines, 5° ≤ 2θ ≤ 70°, low angle first:
d/Å, I/Imax
3.526, 381
3.143, 418
3.084, 490
2.611, 1000
2.600, 650
2.346, 920
2.129, 313
2.041, 270
1.572, 409
1.400, 246

```
Ac3GaB2Pt8
1.0
6.2863 0.0000 0.0000
-3.1432 5.4441 0.0000
0.0000 0.0000 9.2533
Ac Ga B Pt
3 1 2 8
Cartesian
0.0000 0.0000 0.0000
0.0000 3.6294 5.7672
3.1432 1.8147 3.4861
0.0000 0.0000 4.6267
0.0000 3.6294 2.4861
3.1432 1.8147 6.7673
0.0000 1.6336 2.7137
-1.7284 4.6273 2.7137
1.4147 0.8168 6.5396
0.0000 3.6294 0.4593
3.1432 1.8147 8.7941
1.7284 4.6273 2.7137
4.8716 0.8168 6.5396
3.1432 3.8105 6.5396
```

---

# 9
Calculated powder XRD pattern
Compound: Na5B7C3
Radiation: Cu Kα (weighted mean of Kα1 and Kα2)
Structure: a crystal structure in Alexandria, relaxed with PBE
Peak positions follow from Bragg's law for the DFT cell and can differ from measured ones.

Most intense lines, 5° ≤ 2θ ≤ 70°, low angle first:
d/Å, I/Imax
2.514, 192
2.497, 87
2.168, 1000
2.157, 509
2.141, 379
1.630, 104
1.626, 49
1.455, 88
1.445, 86
1.444, 86

```
Na5B7C3
1.0
4.9942 0.0000 0.0000
0.0000 8.5660 0.0000
-2.4916 0.0000 7.2736
Na B C
10 14 6
Cartesian
0.0000 2.0948 0.0000
0.0000 6.4712 0.0000
0.0205 2.1104 2.9179
0.0205 6.4556 2.9179
0.0055 2.1172 5.8332
0.0055 6.4488 5.8332
2.5010 2.1108 1.4631
2.5010 6.4552 1.4631
2.5090 2.1325 4.3620
2.5090 6.4334 4.3620
-1.6594 0.0000 5.8257
-0.8873 4.2830 4.4926
0.8421 4.2830 1.4515
0.9252 0.0000 1.4647
-0.8018 4.2830 7.1917
0.8385 0.0000 4.3680
0.8499 4.2830 4.3768
1.6646 4.2830 2.9076
0.8268 0.0000 7.1981
1.6963 4.2830 5.9089
3.3200 0.0000 3.0013
3.4175 4.2830 2.9149
4.0964 4.2830 1.3272
4.1630 0.0000 1.4632
-1.6881 4.2830 5.8516
-0.8495 0.0000 4.4129
-0.8227 0.0000 7.2613
1.6720 0.0000 2.9370
0.8063 4.2830 7.2473
1.6487 0.0000 5.7832
```

---

# 10
Calculated powder XRD pattern
Compound: V6InS8
Radiation: Cu Kα (weighted mean of Kα1 and Kα2)
Structure: a crystal structure in Alexandria, relaxed with PBE
Peak positions follow from Bragg's law for the DFT cell and can differ from measured ones.

Most intense lines, 5° ≤ 2θ ≤ 70°, low angle first:
d/Å, I/Imax
3.972, 308
2.996, 436
2.646, 360
2.506, 219
2.201, 1000
2.048, 105
1.870, 271
1.820, 101
1.733, 181
1.587, 131

```
V6InS8
1.0
9.1720 0.0000 0.0000
-4.5860 7.9432 0.0000
0.0000 0.0000 3.2309
V In S
6 1 8
Cartesian
-0.6222 1.7348 0.0000
-1.8146 5.6211 1.6229
-2.7725 7.6146 0.0000
0.6253 3.5611 1.6229
1.1894 6.7042 1.6229
3.3947 6.5370 0.0000
4.5860 2.6477 2.3722
0.0000 0.0000 1.6167
-1.6567 3.0664 1.6105
1.6603 2.2289 0.0122
0.0000 5.2955 0.0061
-1.1021 7.8448 1.6105
2.7588 4.9753 1.6105
6.4116 0.3234 0.0122
5.6862 5.3909 0.0122
```

---

# 11
Calculated powder XRD pattern
Compound: VNi2P
Radiation: Cu Kα (weighted mean of Kα1 and Kα2)
Structure: a crystal structure in Alexandria, relaxed with PBE
Peak positions follow from Bragg's law for the DFT cell and can differ from measured ones.

Most intense lines, 5° ≤ 2θ ≤ 70°, low angle first:
d/Å, I/Imax
3.783, 70
3.472, 18
2.558, 17
2.455, 49
2.060, 1000
1.892, 189
1.736, 281
1.578, 24
1.499, 20

```
VNi2P
1.0
3.4725 0.0000 0.0000
0.0000 3.4725 0.0000
0.0000 0.0000 3.7835
V Ni P
1 2 1
Cartesian
0.0000 0.0000 0.0000
0.0000 1.7362 1.8917
1.7362 0.0000 1.8917
1.7362 1.7362 0.0000
```

---

Q: Which formula does entry 9 have?
A: Na5B7C3